(1)
Computed X-ray powder pattern
Compound: Cs2KCrF6
Radiation: λ = 1.5418 Å (Cu Kα)
Structure: a DFT-relaxed cell (GGA+U, the Materials Project)
Lines closer than 0.1° are merged.

Cell and atoms:
```
data_Cs2KCrF6
_symmetry_space_group_name_H-M 'P 1'
_symmetry_Int_Tables_number 1
_symmetry_space_group_name_Hall 'P 1'
_cell_length_a 6.4932
_cell_length_b 6.4932
_cell_length_c 6.4932
_cell_angle_alpha 60.00
_cell_angle_beta 60.00
_cell_angle_gamma 60.00
loop_
_atom_site_label
_atom_site_fract_x
_atom_site_fract_y
_atom_site_fract_z
Cs1 0.2500 0.2500 0.2500
Cs2 0.7500 0.7500 0.7500
K1 0.0000 0.0000 0.0000
Cr1 0.5000 0.5000 0.5000
F1 0.2862 0.2862 0.7138
F2 0.2862 0.7138 0.2862
F3 0.2862 0.7138 0.7138
F4 0.7138 0.2862 0.2862
F5 0.7138 0.2862 0.7138
F6 0.7138 0.7138 0.2862
```

Main lines, in order of rising 2θ (2θ from 5° to 70°):
| two_theta | Rel. int. |
| --- | --- |
| 16.72 | 4 |
| 19.33 | 15 |
| 27.47 | 100 |
| 33.81 | 27 |
| 39.24 | 38 |
| 44.10 | 10 |
| 48.57 | 37 |
| 51.73 | 2 |
| 56.71 | 22 |
| 60.49 | 6 |
| 64.14 | 20 |
| 67.68 | 8 |

=====

(2)
Computed X-ray powder pattern
Compound: MnOF
Radiation: λ = 1.5418 Å (Cu Kα)
Structure: a DFT-relaxed cell (GGA+U, the Materials Project)
Lines closer than 0.1° are merged.

Cell and atoms:
```
data_MnOF
_symmetry_space_group_name_H-M 'P 1'
_symmetry_Int_Tables_number 1
_symmetry_space_group_name_Hall 'P 1'
_cell_length_a 4.5909
_cell_length_b 5.7113
_cell_length_c 10.3611
_cell_angle_alpha 89.85
_cell_angle_beta 89.38
_cell_angle_gamma 89.79
loop_
_atom_site_label
_atom_site_fract_x
_atom_site_fract_y
_atom_site_fract_z
Mn1 0.0000 0.0000 0.0000
Mn2 0.0006 0.3022 0.7491
Mn3 0.0271 0.3188 0.2523
Mn4 0.0358 0.0146 0.5002
Mn5 0.4921 0.7907 0.2679
Mn6 0.4983 0.4973 0.5199
Mn7 0.5048 0.4972 0.0232
Mn8 0.5089 0.7999 0.7747
O1 0.2137 0.0344 0.8371
O2 0.2179 0.2644 0.0884
O3 0.2232 0.2671 0.5883
O4 0.2334 0.0453 0.3380
O5 0.2830 0.5564 0.3635
O6 0.7157 0.7668 0.9341
O7 0.7170 0.5292 0.6815
O8 0.7242 0.5356 0.1812
F1 0.2369 0.7618 0.1036
F2 0.2527 0.5283 0.8649
F3 0.2673 0.7720 0.6149
F4 0.7476 0.0226 0.1681
F5 0.7488 0.2663 0.9071
F6 0.7564 0.7731 0.4396
F7 0.7619 0.0281 0.6522
F8 0.7701 0.2812 0.4106
```

Main lines, in order of rising 2θ (2θ from 5° to 70°):
| two_theta | Rel. int. |
| --- | --- |
| 24.88 | 100 |
| 30.18 | 46 |
| 30.30 | 47 |
| 30.48 | 86 |
| 34.63 | 17 |
| 35.91 | 41 |
| 41.19 | 23 |
| 53.02 | 23 |
| 53.64 | 22 |
| 53.97 | 17 |
| 54.22 | 18 |
| 62.81 | 17 |

=====

(3)
Computed X-ray powder pattern
Compound: Li4Cr3FeO8
Radiation: λ = 1.5418 Å (Cu Kα)
Structure: a DFT-relaxed cell (GGA+U, the Materials Project)
Lines closer than 0.1° are merged.

Cell and atoms:
```
data_Li4Cr3FeO8
_symmetry_space_group_name_H-M 'P 1'
_symmetry_Int_Tables_number 1
_symmetry_space_group_name_Hall 'P 1'
_cell_length_a 5.1226
_cell_length_b 7.7827
_cell_length_c 7.7832
_cell_angle_alpha 81.64
_cell_angle_beta 83.71
_cell_angle_gamma 71.02
loop_
_atom_site_label
_atom_site_fract_x
_atom_site_fract_y
_atom_site_fract_z
Li1 0.0022 0.1865 0.4368
Li2 0.0019 0.4364 0.6887
Li3 0.0025 0.6863 0.9396
Li4 0.0036 0.9357 0.1876
Li5 0.9964 0.0643 0.8124
Li6 0.9975 0.3137 0.0604
Li7 0.9981 0.5636 0.3113
Li8 0.9978 0.8135 0.5632
Cr1 0.5000 0.0000 0.0000
Cr2 0.5000 0.1261 0.6260
Cr3 0.5004 0.2523 0.2474
Cr4 0.5000 0.5000 0.5000
Cr5 0.4996 0.7477 0.7526
Cr6 0.5000 0.8739 0.3740
Fe1 0.5001 0.3761 0.8761
Fe2 0.4999 0.6239 0.1239
O1 0.2734 0.0892 0.2174
O2 0.2734 0.3389 0.4673
O3 0.2740 0.9631 0.5935
O4 0.2754 0.8358 0.9706
O5 0.2759 0.5855 0.7206
O6 0.2758 0.7119 0.3386
O7 0.2766 0.2174 0.8441
O8 0.2785 0.4663 0.0889
O9 0.7215 0.5337 0.9111
O10 0.7234 0.7826 0.1559
O11 0.7242 0.2881 0.6614
O12 0.7241 0.4145 0.2794
O13 0.7246 0.1642 0.0294
O14 0.7260 0.0369 0.4065
O15 0.7266 0.6611 0.5327
O16 0.7266 0.9108 0.7826
```

Main lines, in order of rising 2θ (2θ from 5° to 70°):
| two_theta | Rel. int. |
| --- | --- |
| 18.36 | 100 |
| 35.77 | 13 |
| 35.80 | 27 |
| 37.42 | 11 |
| 43.42 | 79 |
| 47.51 | 12 |
| 57.33 | 14 |
| 62.94 | 21 |
| 63.14 | 7 |
| 63.28 | 14 |
| 66.37 | 5 |
| 66.50 | 9 |

=====

(4)
Computed X-ray powder pattern
Compound: Na3LiMn5O9
Radiation: λ = 1.5418 Å (Cu Kα)
Structure: a DFT-relaxed cell (GGA+U, the Materials Project)
Lines closer than 0.1° are merged.

Cell and atoms:
```
data_Na3LiMn5O9
_symmetry_space_group_name_H-M 'P 1'
_symmetry_Int_Tables_number 1
_symmetry_space_group_name_Hall 'P 1'
_cell_length_a 5.3411
_cell_length_b 5.3513
_cell_length_c 8.4759
_cell_angle_alpha 90.04
_cell_angle_beta 108.26
_cell_angle_gamma 118.92
loop_
_atom_site_label
_atom_site_fract_x
_atom_site_fract_y
_atom_site_fract_z
Na1 0.0000 0.0000 0.0000
Na2 0.3248 0.6529 0.9981
Na3 0.6554 0.3300 0.9970
Li1 0.1287 0.2297 0.6878
Mn1 0.2250 0.4486 0.3420
Mn2 0.4665 0.9127 0.6720
Mn3 0.5563 0.1090 0.3378
Mn4 0.8044 0.5748 0.6723
Mn5 0.8855 0.7810 0.3384
O1 0.0321 0.5730 0.5115
O2 0.1060 0.7340 0.2061
O3 0.1881 0.9154 0.8023
O4 0.4073 0.1965 0.5115
O5 0.4672 0.3760 0.2062
O6 0.5560 0.6268 0.7854
O7 0.6803 0.8570 0.4812
O8 0.7886 0.0552 0.2118
O9 0.8514 0.2520 0.8024
```

Main lines, in order of rising 2θ (2θ from 5° to 70°):
| two_theta | Rel. int. |
| --- | --- |
| 11.18 | 60 |
| 22.47 | 16 |
| 33.99 | 20 |
| 35.06 | 17 |
| 35.38 | 31 |
| 40.03 | 54 |
| 40.86 | 100 |
| 57.82 | 28 |
| 58.01 | 13 |
| 59.18 | 14 |
| 59.30 | 14 |
| 60.30 | 14 |

=====

(5)
Computed X-ray powder pattern
Compound: Ca2FeOsO6
Radiation: λ = 1.5418 Å (Cu Kα)
Structure: a DFT-relaxed cell (GGA+U, the Materials Project)
Lines closer than 0.1° are merged.

Cell and atoms:
```
data_Ca2FeOsO6
_symmetry_space_group_name_H-M 'P 1'
_symmetry_Int_Tables_number 1
_symmetry_space_group_name_Hall 'P 1'
_cell_length_a 5.4497
_cell_length_b 5.5824
_cell_length_c 9.4864
_cell_angle_alpha 90.00
_cell_angle_beta 125.04
_cell_angle_gamma 90.00
loop_
_atom_site_label
_atom_site_fract_x
_atom_site_fract_y
_atom_site_fract_z
Ca1 0.2380 0.0499 0.2490
Ca2 0.2380 0.4501 0.7490
Ca3 0.7620 0.5499 0.2510
Ca4 0.7620 0.9501 0.7510
Fe1 0.0000 0.0000 0.5000
Fe2 0.0000 0.5000 0.0000
Os1 0.5000 0.0000 0.0000
Os2 0.5000 0.5000 0.5000
O1 0.1611 0.2020 0.9552
O2 0.1611 0.2980 0.4552
O3 0.2545 0.7077 0.9525
O4 0.2545 0.7923 0.4525
O5 0.3405 0.0261 0.7526
O6 0.3405 0.4739 0.2526
O7 0.6595 0.5261 0.7474
O8 0.6595 0.9739 0.2474
O9 0.7455 0.2077 0.5475
O10 0.7455 0.2923 0.0475
O11 0.8389 0.7020 0.5448
O12 0.8389 0.7980 0.0448
```

Main lines, in order of rising 2θ (2θ from 5° to 70°):
| two_theta | Rel. int. |
| --- | --- |
| 19.58 | 33 |
| 19.90 | 31 |
| 22.83 | 74 |
| 32.07 | 25 |
| 32.54 | 100 |
| 32.87 | 24 |
| 38.53 | 21 |
| 46.58 | 29 |
| 46.78 | 15 |
| 57.46 | 18 |
| 58.48 | 24 |
| 68.15 | 15 |

=====

(6)
Computed X-ray powder pattern
Compound: Li2Fe3BiO8
Radiation: λ = 1.5418 Å (Cu Kα)
Structure: a DFT-relaxed cell (GGA+U, the Materials Project)
Lines closer than 0.1° are merged.

Cell and atoms:
```
data_Li2Fe3BiO8
_symmetry_space_group_name_H-M 'P 1'
_symmetry_Int_Tables_number 1
_symmetry_space_group_name_Hall 'P 1'
_cell_length_a 8.6885
_cell_length_b 8.6885
_cell_length_c 8.6885
_cell_angle_alpha 90.00
_cell_angle_beta 90.00
_cell_angle_gamma 90.00
loop_
_atom_site_label
_atom_site_fract_x
_atom_site_fract_y
_atom_site_fract_z
Li1 0.0011 0.0011 0.0011
Li2 0.2489 0.2489 0.2489
Li3 0.2511 0.7511 0.7489
Li4 0.4989 0.9989 0.5011
Li5 0.5011 0.4989 0.9989
Li6 0.7489 0.2511 0.7511
Li7 0.7511 0.7489 0.2511
Li8 0.9989 0.5011 0.4989
Fe1 0.1108 0.1392 0.6250
Fe2 0.1250 0.3892 0.8608
Fe3 0.1392 0.6250 0.1108
Fe4 0.3608 0.3750 0.6108
Fe5 0.3750 0.6108 0.3608
Fe6 0.3892 0.8608 0.1250
Fe7 0.6108 0.3608 0.3750
Fe8 0.6250 0.1108 0.1392
Fe9 0.6392 0.8750 0.8892
Fe10 0.8608 0.1250 0.3892
Fe11 0.8750 0.8892 0.6392
Fe12 0.8892 0.6392 0.8750
Bi1 0.1250 0.8750 0.3750
Bi2 0.3750 0.1250 0.8750
Bi3 0.6250 0.6250 0.6250
Bi4 0.8750 0.3750 0.1250
O1 0.1049 0.1220 0.3877
O2 0.1123 0.8951 0.6220
O3 0.1190 0.6190 0.8810
O4 0.1220 0.3877 0.1049
O5 0.1280 0.1451 0.8623
O6 0.1310 0.3690 0.6310
O7 0.1377 0.6280 0.3549
O8 0.1451 0.8623 0.1280
O9 0.3549 0.1377 0.6280
O10 0.3623 0.3720 0.8549
O11 0.3690 0.6310 0.1310
O12 0.3720 0.8549 0.3623
O13 0.3780 0.6123 0.6049
O14 0.3810 0.3810 0.3810
O15 0.3877 0.1049 0.1220
O16 0.3951 0.8780 0.8877
O17 0.6049 0.3780 0.6123
O18 0.6123 0.6049 0.3780
O19 0.6190 0.8810 0.1190
O20 0.6220 0.1123 0.8951
O21 0.6280 0.3549 0.1377
O22 0.6310 0.1310 0.3690
O23 0.6377 0.8720 0.6451
O24 0.6451 0.6377 0.8720
O25 0.8549 0.3623 0.3720
O26 0.8623 0.1280 0.1451
O27 0.8690 0.8690 0.8690
O28 0.8720 0.6451 0.6377
O29 0.8780 0.8877 0.3951
O30 0.8810 0.1190 0.6190
O31 0.8877 0.3951 0.8780
O32 0.8951 0.6220 0.1123
```

Main lines, in order of rising 2θ (2θ from 5° to 70°):
| two_theta | Rel. int. |
| --- | --- |
| 14.42 | 19 |
| 17.68 | 100 |
| 22.89 | 41 |
| 25.11 | 22 |
| 34.23 | 56 |
| 35.80 | 28 |
| 37.32 | 15 |
| 41.58 | 52 |
| 45.51 | 17 |
| 54.91 | 21 |
| 60.26 | 32 |
| 63.33 | 17 |